This entry pairs a crystal structure of YNi with its calculated powder diffractogram. Radiation: Cu Kα (weighted mean of Kα1 and Kα2). Structure: DFT lattice parameters and positions (PBE).
Kinematic intensities with the Lorentz-polarization factor, no thermal factor.

The 6 most intense peaks (2θ = 10–80°), in order of rising 2θ:
two_theta  I_rel  (hkl)
29.83  60  1 1 1
33.15  88  2 1 0
35.07  72  1 0 2
37.09  92  2 1 1
41.51  100  1 1 2
43.83  49  0 2 0

Structure:
a = 7.145 Å, b = 4.131 Å, c = 5.481 Å
α = 90.00°, β = 90.00°, γ = 90.00°
Element x y z (fractional)
Y1 0.180 0.250 0.132
Y2 0.320 0.750 0.632
Y3 0.680 0.250 0.368
Y4 0.820 0.750 0.868
Ni1 0.036 0.250 0.623
Ni2 0.464 0.750 0.123
Ni3 0.536 0.250 0.877
Ni4 0.964 0.750 0.377